Starting from a DFT-relaxed cell (GGA-PBE, the Materials Project), the X-ray diffraction stick pattern of P4S7 was calculated for Cu Ka.

The 6 most intense peaks (2θ = 10–90°), by angle:
2θ/deg	I (rel.)
12.77	50
13.14	100
14.95	50
18.53	34
26.45	30
27.80	40

Atomic structure:
```
P4S7
1.0
7.503 0.000 0.000
0.000 18.732 0.000
-6.459 0.000 9.702
P S
16 28
Cartesian
-1.375 0.865 2.314
-4.604 8.501 7.165
-0.139 3.828 1.467
-3.369 5.538 6.318
-0.221 3.183 4.709
-3.450 6.183 9.560
1.598 2.319 2.084
-1.632 7.047 6.935
2.676 11.685 2.767
-0.553 16.413 7.618
4.495 12.549 0.142
1.266 15.549 4.993
4.413 13.194 3.384
1.184 14.904 8.235
5.649 10.231 2.537
2.419 17.867 7.388
-1.496 11.865 3.827
-4.726 16.233 8.678
-3.865 0.609 7.606
-0.635 8.757 2.755
-1.519 1.541 4.335
-4.748 7.825 9.186
-3.862 4.641 8.179
-0.633 4.725 3.328
0.648 0.432 1.888
-2.581 8.934 6.739
2.520 12.027 0.678
-0.709 16.071 5.529
-1.766 13.050 7.986
1.464 15.047 3.135
-0.419 3.684 6.567
2.810 5.681 1.716
1.754 2.661 4.173
-1.476 6.705 9.024
3.626 9.798 2.963
0.397 18.300 7.814
1.678 14.006 6.374
4.907 14.091 1.523
5.793 10.907 0.516
2.563 17.191 5.367
1.680 9.975 6.947
4.909 18.123 2.096
5.770 2.499 1.024
2.541 6.867 5.875
```

***

Starting from a DFT-relaxed cell (GGA-PBE, the Materials Project), the X-ray diffraction stick pattern of KSb2PO8 was calculated for Cu Ka.

The 6 most intense peaks (2θ = 10–90°), by angle:
2θ/deg	I (rel.)
14.23	100
15.09	30
19.37	24
26.20	45
28.96	32
30.49	83

Atomic structure:
```
KSb2PO8
1.0
6.259 -3.598 0.000
6.259 3.598 0.000
-1.595 0.000 15.175
K Sb P O
4 8 4 32
Cartesian
4.917 2.723 9.341
5.209 2.723 13.422
5.714 -2.723 1.753
6.006 -2.723 5.834
1.955 0.914 11.331
3.944 0.948 0.961
2.753 -0.914 3.743
3.146 -0.948 8.549
7.777 0.948 6.626
8.170 0.914 11.432
6.979 -0.948 14.214
8.967 -0.914 3.844
4.365 0.810 5.981
7.355 0.810 1.607
3.568 -0.810 13.568
6.557 -0.810 9.195
2.039 1.197 0.423
8.884 -1.197 14.752
4.005 2.303 2.409
1.895 0.879 3.741
4.106 2.165 5.267
3.324 0.573 7.102
3.154 0.573 9.789
1.097 -0.879 11.329
7.614 2.165 2.321
1.241 -1.197 8.011
3.547 0.361 12.544
7.715 2.303 5.179
5.977 0.952 0.943
5.743 0.952 6.644
2.527 -0.573 14.690
3.952 -0.573 2.201
4.345 -0.361 4.957
6.578 0.361 10.218
6.971 0.573 12.974
8.396 0.573 0.485
5.180 -0.952 8.531
4.946 -0.952 14.232
3.207 -2.303 9.996
7.375 -0.361 2.631
9.681 1.197 7.164
3.309 -2.165 12.854
9.825 0.879 3.846
7.768 -0.573 5.386
7.599 -0.573 8.073
6.816 -2.165 9.909
9.028 -0.879 11.434
6.918 -2.303 12.766
```

***

Starting from a DFT-relaxed cell (GGA-PBE, the Materials Project), the X-ray diffraction stick pattern of LiHf8N8O4 was calculated for Cu Ka.

The 6 most intense peaks (2θ = 10–90°), by angle:
2θ/deg	I (rel.)
29.00	65
30.20	100
31.45	85
32.92	74
33.18	83
46.18	59

Atomic structure:
```
LiHf8N8O4
1.0
5.412 0.000 0.000
2.546 4.817 0.000
0.517 2.501 10.088
Li Hf N O
1 8 8 4
Cartesian
0.000 0.000 0.000
2.547 2.118 0.394
2.589 2.436 3.454
2.520 2.460 7.838
5.106 3.982 0.981
5.131 4.185 5.186
5.177 4.203 8.196
5.234 0.789 2.845
7.844 5.902 5.957
3.116 3.893 1.795
3.946 5.689 4.331
4.384 5.851 9.332
3.231 0.932 2.031
3.992 2.899 9.428
5.882 5.666 6.754
4.414 2.341 4.369
6.033 2.754 6.831
1.482 4.007 9.271
3.462 4.156 6.765
6.161 2.386 1.766
6.985 4.185 4.286
```

***

Starting from a DFT-relaxed cell (GGA-PBE, the Materials Project), the X-ray diffraction stick pattern of TaPd3 was calculated for Cu Ka.

The 6 most intense peaks (2θ = 10–90°), by angle:
2θ/deg	I (rel.)
39.33	100
44.89	17
46.15	32
66.34	21
79.02	13
80.84	25

Atomic structure:
```
TaPd3
1.0
-1.967 1.967 4.039
1.967 -1.967 4.039
1.967 1.967 -4.039
Ta Pd
1 3
Cartesian
0.000 0.000 0.000
1.967 0.000 2.019
0.000 0.000 4.039
0.000 1.967 2.019
```